Computed powder X-ray diffraction pattern of Ca2Er2Rh3 for CuKα, from a DFT-relaxed cell (PBE, Alexandria).
Peak positions follow from Bragg's law for the DFT cell and can differ from measured ones.

Cell and atoms:
Cell lengths 4.7575, 4.7575, 24.5649 Å; angles 90.00, 90.00, 120.00 degrees
Space group R-3m (No. 166, hexagonal axes)
Symmetry-distinct sites (fractional):
Ca  0.0000  0.0000  0.1257 [6 per cell]
Er  0.0000  0.0000  0.3750 [6 per cell]
Rh  0.0000  0.0000  0.0000 [3 per cell]
Rh  0.0000  0.0000  0.2597 [6 per cell]

Largest 6 diffraction maxima, in order of rising 2θ, 2θ = 10–90°:
(0 0 3), 10.8 deg, I 100; (0 1 8), 36.5 deg, I 85; (1 1 0), 37.8 deg, I 82; (1 1 3), 39.4 deg, I 28; (2 0 8), 53.6 deg, I 28; (1 2 8), 67.4 deg, I 27